1.
The following is a theoretical X-ray diffraction stick pattern of FeCo3Br9. It was derived from a cell relaxed with PBE, using Cu Kα (λ = 1.5418 Å).
Lines closer than 0.1° are merged.

Structural model:
```
FeCo3Br9
1.0
8.9588 -4.5562 0.0000
8.9588 4.5562 0.0000
-8.0589 0.0000 10.0505
Fe Co Br
2 6 18
direct
0.2304 0.7696 0.5000
0.7696 0.2304 0.0000
0.0158 0.2476 0.8226
0.2476 0.0158 0.3226
0.2948 0.4348 0.6766
0.4348 0.2948 0.1766
0.6706 0.7941 0.2205
0.7941 0.6706 0.7205
0.0691 0.1983 0.1929
0.0912 0.9112 0.3271
0.1652 0.4224 0.0212
0.1983 0.0691 0.6929
0.3103 0.6740 0.6962
0.3545 0.4411 0.3700
0.4224 0.1652 0.5212
0.4411 0.3545 0.8700
0.4560 0.7592 0.2220
0.5036 0.9889 0.0966
0.5229 0.7723 0.5557
0.6740 0.3103 0.1962
0.7592 0.4560 0.7220
0.7723 0.5229 0.0557
0.8200 0.9007 0.9290
0.9007 0.8200 0.4290
0.9112 0.0912 0.8271
0.9889 0.5036 0.5966
```

Most intense lines, 10 to 90 degrees two-theta, by angle:
16.81°, d 5.273, rel. 99.0
18.67°, d 4.753, rel. 46.3
26.41°, d 3.375, rel. 25.1
26.82°, d 3.324, rel. 70.9
27.58°, d 3.234, rel. 67.4
28.84°, d 3.096, rel. 100.0
29.58°, d 3.020, rel. 33.7
32.28°, d 2.773, rel. 29.8
41.45°, d 2.179, rel. 34.1
43.33°, d 2.088, rel. 36.0

***

2.
The following is a theoretical X-ray diffraction stick pattern of FeCoBr4. It was derived from a cell relaxed with PBE, using Cu Kα (λ = 1.5418 Å).
Lines closer than 0.1° are merged.

Structural model:
```
FeCoBr4
1.0
5.9508 0.0000 0.0000
0.0000 5.9508 0.0000
0.0000 0.0000 10.7197
Fe Co Br
2 2 8
direct
0.0000 0.5000 0.2500
0.5000 0.0000 0.7500
0.0000 0.0000 0.0000
0.0000 0.0000 0.5000
0.2294 0.2567 0.3790
0.2294 0.7433 0.1210
0.2567 0.2294 0.8790
0.2567 0.7706 0.6210
0.7433 0.2294 0.6210
0.7433 0.7706 0.8790
0.7706 0.2567 0.1210
0.7706 0.7433 0.3790
```

Most intense lines, 10 to 90 degrees two-theta, by angle:
14.89°, d 5.951, rel. 10.2
17.04°, d 5.203, rel. 15.9
26.94°, d 3.310, rel. 100.0
30.03°, d 2.975, rel. 12.5
42.99°, d 2.104, rel. 21.7
45.55°, d 1.991, rel. 37.3
51.47°, d 1.776, rel. 29.8
55.91°, d 1.645, rel. 12.1
73.02°, d 1.296, rel. 10.1
80.61°, d 1.192, rel. 12.0

***

3.
The following is a theoretical X-ray diffraction stick pattern of Ga2CoBr8. It was derived from a cell relaxed with PBE, using Cu Kα (λ = 1.5418 Å).
Lines closer than 0.1° are merged.

Structural model:
```
Ga2CoBr8
1.0
9.4694 -4.4220 0.0000
9.4694 4.4220 0.0000
-7.7968 0.0000 9.7754
Ga Co Br
4 2 16
direct
0.1542 0.6837 0.9707
0.3163 0.8458 0.5293
0.6837 0.1542 0.4707
0.8458 0.3163 0.0293
0.0075 0.9925 0.2500
0.9925 0.0075 0.7500
0.1303 0.1548 0.0047
0.1352 0.7064 0.7812
0.1513 0.7159 0.3127
0.1548 0.1303 0.5047
0.2841 0.8487 0.1873
0.2936 0.8648 0.7188
0.2961 0.3886 0.9413
0.3886 0.2961 0.4413
0.6114 0.7039 0.5587
0.7039 0.6114 0.0587
0.7064 0.1352 0.2812
0.7159 0.1513 0.8127
0.8452 0.8697 0.4953
0.8487 0.2841 0.6873
0.8648 0.2936 0.2188
0.8697 0.8452 0.9953
```

Most intense lines, 10 to 90 degrees two-theta, by angle:
11.66°, d 7.593, rel. 57.4
11.95°, d 7.403, rel. 65.5
17.39°, d 5.099, rel. 32.8
23.43°, d 3.796, rel. 40.0
24.04°, d 3.702, rel. 27.7
27.19°, d 3.279, rel. 32.5
27.43°, d 3.252, rel. 47.7
27.79°, d 3.210, rel. 100.0
28.59°, d 3.122, rel. 50.3
41.92°, d 2.155, rel. 51.4

***

4.
The following is a theoretical X-ray diffraction stick pattern of Pm8Ga3CoBr4. It was derived from a cell relaxed with PBE, using Cu Kα (λ = 1.5418 Å).
Lines closer than 0.1° are merged.

Structural model:
```
Pm8Ga3CoBr4
1.0
7.2928 -4.1795 0.0000
7.2928 4.1795 0.0000
-4.8792 0.0000 7.3876
Pm Ga Co Br
8 3 1 4
direct
0.2250 0.7606 0.7105
0.2271 0.2271 0.7137
0.2394 0.7750 0.2895
0.2551 0.2551 0.2646
0.7449 0.7449 0.7354
0.7606 0.2250 0.7105
0.7729 0.7729 0.2863
0.7750 0.2394 0.2895
0.0000 0.5000 0.5000
0.5000 0.0000 0.5000
0.5000 0.5000 0.5000
0.0000 0.0000 0.5000
0.0000 0.0000 0.0000
0.0000 0.5000 0.0000
0.5000 0.0000 0.0000
0.5000 0.5000 0.0000
```

Most intense lines, 10 to 90 degrees two-theta, by angle:
25.86°, d 3.445, rel. 8.7
29.40°, d 3.038, rel. 100.0
40.86°, d 2.208, rel. 11.4
41.02°, d 2.200, rel. 22.9
43.05°, d 2.101, rel. 23.7
43.30°, d 2.090, rel. 11.6
52.83°, d 1.733, rel. 6.2
53.17°, d 1.723, rel. 12.2
61.05°, d 1.518, rel. 6.6
70.50°, d 1.336, rel. 5.1

***

5.
The following is a theoretical X-ray diffraction stick pattern of ScGaCo2Br. It was derived from a cell relaxed with PBE, using Cu Kα (λ = 1.5418 Å).
Lines closer than 0.1° are merged.

Structural model:
```
ScGaCo2Br
1.0
4.3523 0.0000 0.0000
0.0000 4.3523 0.0000
0.0000 0.0000 4.9403
Sc Ga Co Br
1 1 2 1
direct
0.0000 0.0000 0.0000
0.5000 0.5000 0.0000
0.0000 0.5000 0.5000
0.5000 0.0000 0.5000
0.0000 0.0000 0.5000
```

Most intense lines, 10 to 90 degrees two-theta, by angle:
17.96°, d 4.940, rel. 33.0
20.41°, d 4.352, rel. 19.2
27.31°, d 3.266, rel. 72.7
34.33°, d 2.612, rel. 84.9
36.37°, d 2.470, rel. 73.4
41.50°, d 2.176, rel. 100.0
50.39°, d 1.811, rel. 27.1
56.34°, d 1.633, rel. 77.4
60.12°, d 1.539, rel. 39.4
72.35°, d 1.306, rel. 35.1

***

6.
The following is a theoretical X-ray diffraction stick pattern of CoH4Br3N. It was derived from a cell relaxed with PBE, using Cu Kα (λ = 1.5418 Å).
Lines closer than 0.1° are merged.

Structural model:
```
CoH4Br3N
1.0
6.2611 0.0000 0.0000
-0.0279 7.6100 0.0000
-0.0154 -0.0071 13.1740
Co H Br N
4 16 12 4
direct
0.0032 0.2506 0.2497
0.4613 0.7493 0.7501
0.5387 0.2507 0.2499
0.9968 0.7494 0.7503
0.2519 0.6953 0.4807
0.2538 0.1753 0.8579
0.2545 0.3778 0.9147
0.2748 0.8812 0.4078
0.2770 0.1916 0.9875
0.2837 0.6771 0.3518
0.4772 0.2562 0.9104
0.4846 0.7487 0.4268
0.5154 0.2513 0.5732
0.5228 0.7438 0.0896
0.7163 0.3229 0.6482
0.7230 0.8084 0.0125
0.7252 0.1188 0.5922
0.7455 0.6222 0.0853
0.7462 0.8247 0.1421
0.7481 0.3047 0.5193
0.2259 0.5461 0.6430
0.2273 0.6914 0.9058
0.2283 0.0115 0.7020
0.2688 0.0543 0.1471
0.2696 0.1937 0.4000
0.2715 0.5045 0.2034
0.7285 0.4955 0.7966
0.7304 0.8063 0.6000
0.7312 0.9457 0.8529
0.7717 0.9885 0.2980
0.7727 0.3086 0.0942
0.7741 0.4539 0.3570
0.3133 0.2501 0.9179
0.3213 0.7506 0.4165
0.6787 0.2494 0.5835
0.6867 0.7499 0.0821
```

Most intense lines, 10 to 90 degrees two-theta, by angle:
13.44°, d 6.589, rel. 100.0
27.43°, d 3.251, rel. 36.1
28.51°, d 3.131, rel. 16.3
30.67°, d 2.915, rel. 70.2
37.16°, d 2.419, rel. 15.1
38.91°, d 2.315, rel. 18.3
39.67°, d 2.272, rel. 14.8
39.77°, d 2.266, rel. 13.9
47.82°, d 1.902, rel. 11.0
49.90°, d 1.827, rel. 26.0

***

Copy entry 1 word for word.
The following is a theoretical X-ray diffraction stick pattern of FeCo3Br9. It was derived from a cell relaxed with PBE, using Cu Kα (λ = 1.5418 Å).
Lines closer than 0.1° are merged.

Structural model:
```
FeCo3Br9
1.0
8.9588 -4.5562 0.0000
8.9588 4.5562 0.0000
-8.0589 0.0000 10.0505
Fe Co Br
2 6 18
direct
0.2304 0.7696 0.5000
0.7696 0.2304 0.0000
0.0158 0.2476 0.8226
0.2476 0.0158 0.3226
0.2948 0.4348 0.6766
0.4348 0.2948 0.1766
0.6706 0.7941 0.2205
0.7941 0.6706 0.7205
0.0691 0.1983 0.1929
0.0912 0.9112 0.3271
0.1652 0.4224 0.0212
0.1983 0.0691 0.6929
0.3103 0.6740 0.6962
0.3545 0.4411 0.3700
0.4224 0.1652 0.5212
0.4411 0.3545 0.8700
0.4560 0.7592 0.2220
0.5036 0.9889 0.0966
0.5229 0.7723 0.5557
0.6740 0.3103 0.1962
0.7592 0.4560 0.7220
0.7723 0.5229 0.0557
0.8200 0.9007 0.9290
0.9007 0.8200 0.4290
0.9112 0.0912 0.8271
0.9889 0.5036 0.5966
```

Most intense lines, 10 to 90 degrees two-theta, by angle:
16.81°, d 5.273, rel. 99.0
18.67°, d 4.753, rel. 46.3
26.41°, d 3.375, rel. 25.1
26.82°, d 3.324, rel. 70.9
27.58°, d 3.234, rel. 67.4
28.84°, d 3.096, rel. 100.0
29.58°, d 3.020, rel. 33.7
32.28°, d 2.773, rel. 29.8
41.45°, d 2.179, rel. 34.1
43.33°, d 2.088, rel. 36.0